Entry 1:
The following is a simulated powder diffractogram of Mn3GeC. It was derived from a crystal structure in the Materials Project, relaxed with GGA-PBE, using a wavelength of 1.5418 Å.

Atomic structure:
Lattice parameters (Å, degrees): 5.2798 5.2798 8.0642 90.00 90.00 90.00
Space group I4/mcm (No. 140)
One atom of each set of equivalent atoms:
Mn 0.0000 0.0000 0.2500
Mn 0.1871 0.3129 0.0000
Ge 0.0000 0.5000 0.2500
C 0.0000 0.0000 0.0000

Top 10 peaks for 2θ = 15–90°, by intensity:
2θ/deg	I_rel
40.9	100
45.0	30
39.8	29
48.8	28
68.5	19
51.5	14
80.1	12
34.0	8
85.8	8
75.1	7


Entry 2:
The following is a simulated powder diffractogram of CaNiBN. It was derived from a crystal structure in the Materials Project, relaxed with GGA-PBE, using a wavelength of 1.5418 Å.

Atomic structure:
Lattice parameters (Å, degrees): 3.5353 3.5353 7.6242 90.00 90.00 90.00
Space group P4/nmm (No. 129, origin choice 2)
One atom of each set of equivalent atoms:
Ca 0.2500 0.2500 0.1588
Ni 0.2500 0.7500 0.5000
B 0.2500 0.2500 0.6540
N 0.2500 0.2500 0.8366

Top 10 peaks for 2θ = 15–90°, by intensity:
2θ/deg	I_rel
37.9	100
43.3	68
35.3	47
51.7	37
61.1	29
64.2	28
34.6	18
23.3	15
88.4	14
86.8	11


Entry 3:
The following is a simulated powder diffractogram of HoGe2Pd2. It was derived from a crystal structure in the Materials Project, relaxed with GGA-PBE, using a wavelength of 1.5418 Å.

Atomic structure:
Lattice parameters (Å, degrees): 4.2626 4.2626 10.2031 90.00 90.00 90.00
Space group I4/mmm (No. 139)
One atom of each set of equivalent atoms:
Ho 0.0000 0.0000 0.0000
Ge 0.0000 0.0000 0.3809
Pd 0.0000 0.5000 0.2500

Top 10 peaks for 2θ = 15–90°, by intensity:
2θ/deg	I_rel
34.6	100
42.4	52
33.7	46
72.5	23
55.2	22
49.5	19
61.5	17
67.2	15
62.7	14
89.6	12


Entry 4:
The following is a simulated powder diffractogram of Ce2Co3Ge5. It was derived from a crystal structure in the Materials Project, relaxed with GGA-PBE, using a wavelength of 1.5418 Å.

Atomic structure:
Lattice parameters (Å, degrees): 9.8029 11.6652 5.8316 90.00 90.00 90.00
Space group Ibam (No. 72)
One atom of each set of equivalent atoms:
Ce 0.2386 0.1333 0.0000
Co 0.0000 0.5000 0.2500
Co 0.1142 0.1362 0.5000
Ge 0.0000 0.0000 0.2500
Ge 0.0000 0.2629 0.2500
Ge 0.1540 0.3997 0.0000

Top 10 peaks for 2θ = 15–90°, by intensity:
2θ/deg	I_rel
35.8	100
43.9	50
35.0	50
57.4	22
51.6	20
75.4	19
63.8	15
70.0	14
30.7	13
65.5	10


Entry 5:
The following is a simulated powder diffractogram of Al12W. It was derived from a crystal structure in the Materials Project, relaxed with GGA-PBE, using a wavelength of 1.5418 Å.

Atomic structure:
Lattice parameters (Å, degrees): 7.5885 7.5885 7.5885 90.00 90.00 90.00
Space group Im-3 (No. 204)
One atom of each set of equivalent atoms:
Al 0.0000 0.3085 0.1864
W 0.0000 0.0000 0.0000

Top 10 peaks for 2θ = 15–90°, by intensity:
2θ/deg	I_rel
16.5	100
44.7	67
37.5	62
28.8	49
41.2	29
62.4	25
77.5	25
72.7	16
23.4	14
51.1	13